1.
Diffraction record for MgU8Se17. The powder diffraction line list is computed, not measured: it uses a cell relaxed with PBE and CuKα.

Structural model:
a b c (Å): 13.972 8.769 10.985
angles (deg): 90.00 101.89 90.00
Space group C2/m (No. 12)
Unique sites:
Mg1 0.000 0.000 0.000 [2 per cell]
U1 0.061 0.242 0.699 [8 per cell]
U2 0.179 0.500 0.013 [4 per cell]
U3 0.202 0.000 0.459 [4 per cell]
Se1 0.000 0.000 0.500 [2 per cell]
Se2 0.021 0.500 0.171 [4 per cell]
Se3 0.059 0.000 0.234 [4 per cell]
Se4 0.127 0.308 0.465 [8 per cell]
Se5 0.137 0.192 0.963 [8 per cell]
Se6 0.200 0.500 0.753 [4 per cell]
Se7 0.215 0.000 0.722 [4 per cell]

Largest 10 diffraction maxima, in order of rising 2θ, 2θ from 10° to 80°:
d 6.403, I = 68, (2 0 -1); d 4.725, I = 53, (2 0 -2); d 3.691, I = 97, (2 2 0); d 3.616, I = 74, (2 2 -1); d 2.731, I = 62, (1 3 1); d 2.697, I = 76, (2 0 -4); d 2.520, I = 57, (4 2 1); d 2.458, I = 67, (3 3 -1); d 2.344, I = 100, (4 2 -3); d 2.191, I = 79, (0 4 0)

***

2.
Diffraction record for KMnCd2Br8. The powder diffraction line list is computed, not measured: it uses a cell relaxed with PBE and CuKα.

Structural model:
a b c (Å): 6.685 6.787 9.641
angles (deg): 83.58 89.34 70.82
Space group P-1 (No. 2)
Unique sites:
K1 0.000 0.000 0.000 [1 per cell]
Mn1 0.000 0.000 0.500 [1 per cell]
Cd1 0.354 0.371 0.283 [2 per cell]
Br1 0.199 0.745 0.696 [2 per cell]
Br2 0.234 0.213 0.523 [2 per cell]
Br3 0.267 0.777 0.304 [2 per cell]
Br4 0.312 0.294 0.035 [2 per cell]

Largest 10 diffraction maxima, in order of rising 2θ, 2θ from 10° to 80°:
d 5.607, I = 48, (0 1 1); d 5.206, I = 48, (1 0 1); d 3.888, I = 36, (1 -1 0); d 3.746, I = 42, (1 1 2); d 3.292, I = 37, (2 1 0); d 3.187, I = 81, (0 2 0); d 3.155, I = 100, (2 0 0); d 2.973, I = 43, (2 0 1); d 2.395, I = 46, (0 0 4); d 1.944, I = 60, (2 -2 0)

***

3.
Diffraction record for Tb12SmEr2. The powder diffraction line list is computed, not measured: it uses a cell relaxed with PBE and CuKα.

Structural model:
a b c (Å): 7.064 11.290 24.619
angles (deg): 90.00 90.00 90.00
Space group Cmme (No. 67)
Unique sites:
Tb1 0.000 0.001 0.079 [8 per cell]
Tb2 0.000 0.015 0.561 [8 per cell]
Tb3 0.238 0.250 0.414 [8 per cell]
Tb4 0.249 0.250 0.870 [8 per cell]
Tb5 0.250 0.000 0.201 [8 per cell]
Tb6 0.250 0.000 0.326 [8 per cell]
Sm1 0.000 0.250 0.000 [4 per cell]
Er1 0.000 0.250 0.266 [4 per cell]
Er2 0.000 0.250 0.730 [4 per cell]

Largest 10 diffraction maxima, in order of rising 2θ, 2θ from 10° to 80°:
d 3.063, I = 30, (2 0 4); d 2.985, I = 66, (0 2 7); d 2.909, I = 100, (2 2 2); d 2.822, I = 100, (0 4 0); d 2.702, I = 78, (0 2 8); d 2.692, I = 69, (2 2 4); d 2.419, I = 53, (2 2 6); d 1.891, I = 30, (2 0 11); d 1.604, I = 30, (0 6 8); d 1.571, I = 33, (2 4 11)

***

4.
Diffraction record for ErGa4Ag2. The powder diffraction line list is computed, not measured: it uses a cell relaxed with PBE and CuKα.

Structural model:
a b c (Å): 9.455 6.525 5.160
angles (deg): 90.00 122.81 90.00
Space group C2/m (No. 12)
Unique sites:
Er1 0.000 0.000 0.000 [2 per cell]
Ga1 0.190 0.199 0.716 [8 per cell]
Ag1 0.057 0.500 0.303 [4 per cell]

Largest 10 diffraction maxima, in order of rising 2θ, 2θ from 10° to 80°:
d 2.840, I = 80, (1 1 1); d 2.604, I = 66, (2 2 -1); d 2.521, I = 100, (2 2 0); d 2.352, I = 66, (4 0 -1); d 2.297, I = 98, (3 1 -2); d 2.024, I = 16, (2 2 -2); d 2.004, I = 31, (1 3 -1); d 1.786, I = 18, (3 1 1); d 1.630, I = 24, (0 4 0); d 1.376, I = 20, (6 2 -1)

***

Number 4 is which compound?
ErGa4Ag2